# 1
# TmZr2P3
Theoretical powder diffractogram, Cu Ka. Input: a DFT-relaxed cell (GGA-PBE, OQMD).

Most intense lines, 10° ≤ 2θ ≤ 90°, low angle first:
hkl	two_theta	I (rel.)
0 1 1	28.7	71
1 0 2	33.3	100
1 1 0	47.8	71
2 0 1	56.7	23
0 2 2	59.5	18
2 0 4	70.0	11
1 2 1	77.3	10
2 1 2	79.7	16
1 1 6	79.8	14
3 0 0	89.1	18

Cell and atoms:
a = 3.8067 Å, b = 3.8067 Å, c = 9.3029 Å
α = 90.00°, β = 90.00°, γ = 120.00°
Space group P-3m1 (No. 164)
Inequivalent atoms, fractional coordinates:
Tm 0.0000 0.0000 0.0000
Zr 0.3333 0.6667 0.3446
P 0.0000 0.0000 0.5000
P 0.3333 0.6667 0.8233

***

# 2
# NaSnHg3Te4
Theoretical powder diffractogram, Cu Ka. Input: a DFT-relaxed cell (GGA-PBE, OQMD).

Most intense lines, 10° ≤ 2θ ≤ 90°, low angle first:
hkl	two_theta	I (rel.)
1 0 0	12.5	37
1 1 1	21.8	77
2 1 0	28.2	20
2 2 0	35.9	100
3 1 1	42.4	41
4 0 0	51.7	18
3 3 1	56.7	17
4 2 2	64.6	36
5 1 1	69.0	13
6 2 0	87.2	17

Cell and atoms:
a = 7.072 Å, b = 7.072 Å, c = 7.072 Å
α = 90.00°, β = 90.00°, γ = 90.00°
Space group P-43m (No. 215)
Inequivalent atoms, fractional coordinates:
Na 0.000 0.000 0.000
Sn 0.500 0.500 0.500
Hg 0.000 0.500 0.500
Te 0.254 0.254 0.254

***

# 3
# Ho4Ir2Pb5
Theoretical powder diffractogram, Cu Ka. Input: a DFT-relaxed cell (GGA-PBE, OQMD).

Most intense lines, 10° ≤ 2θ ≤ 90°, low angle first:
hkl	two_theta	I (rel.)
0 1 0	24.7	25
1 0 3	30.1	28
1 1 -2	32.3	45
1 1 2	33.1	63
3 0 0	33.4	100
2 0 -3	34.1	41
0 0 4	36.5	31
3 0 -2	37.1	48
2 1 -2	37.4	29
0 2 0	50.5	28

Cell and atoms:
a = 8.061 Å, b = 3.611 Å, c = 9.853 Å
α = 90.00°, β = 93.80°, γ = 90.00°
Space group P2/m (No. 10)
Inequivalent atoms, fractional coordinates:
Ho 0.197 0.000 0.339
Ho 0.199 0.000 0.932
Ir 0.084 0.500 0.135
Pb 0.143 0.500 0.635
Pb 0.460 0.500 0.163
Pb 0.500 0.500 0.500

***

# 4
# Ag8SnS6
Theoretical powder diffractogram, Cu Ka. Input: a DFT-relaxed cell (GGA-PBE, OQMD).

Most intense lines, 10° ≤ 2θ ≤ 90°, low angle first:
hkl	two_theta	I (rel.)
4 1 1	27.1	40
2 0 3	27.2	29
4 0 2	28.4	35
0 2 2	28.5	100
3 1 3	32.4	44
3 2 2	33.5	24
4 1 3	36.0	32
6 2 1	43.1	24
4 2 4	47.3	43
4 4 2	56.2	26

Cell and atoms:
a = 15.464 Å, b = 7.667 Å, c = 10.847 Å
α = 90.00°, β = 90.00°, γ = 90.00°
Space group Pna2_1 (No. 33)
Inequivalent atoms, fractional coordinates:
Ag 0.021 0.015 0.277
Ag 0.059 0.231 0.500
Ag 0.067 0.561 0.182
Ag 0.090 0.595 0.867
Ag 0.128 0.254 0.042
Ag 0.225 0.873 0.854
Ag 0.227 0.006 0.264
Ag 0.242 0.642 0.081
Sn 0.125 0.730 0.517
S 0.001 0.272 0.886
S 0.113 0.812 0.034
S 0.120 0.480 0.651
S 0.125 0.267 0.275
S 0.127 0.987 0.648
S 0.249 0.221 0.887

***

# 5
# NbTcB4
Theoretical powder diffractogram, Cu Ka. Input: a DFT-relaxed cell (GGA-PBE, OQMD).

Most intense lines, 10° ≤ 2θ ≤ 90°, low angle first:
hkl	two_theta	I (rel.)
0 0 2	22.6	63
1 0 0	35.4	28
1 0 1	37.2	100
1 0 2	42.4	19
0 0 4	46.2	15
1 0 3	50.0	55
1 1 0	63.5	19
1 1 2	68.3	18
1 0 5	70.4	12
1 1 4	82.0	16

Cell and atoms:
a = 2.9303 Å, b = 2.9303 Å, c = 7.8673 Å
α = 90.00°, β = 90.00°, γ = 120.00°
Space group P-6m2 (No. 187)
Inequivalent atoms, fractional coordinates:
Nb 0.0000 0.0000 0.0000
Tc 0.6667 0.3333 0.5000
B 0.0000 0.0000 0.3040
B 0.6667 0.3333 0.2221

***

- Number 3 is which compound?
  Ho4Ir2Pb5